Diffraction record for Sc2Cd2Si3. The XRD peak list is simulated, not measured: it uses a DFT-relaxed cell (GGA-PBE, OQMD) and Cu Ka.
Lines closer than 0.1° are merged.

Structure:
a = 8.8120 Å, b = 8.8120 Å, c = 8.8120 Å
α = 28.98°, β = 28.98°, γ = 28.98°
Atoms (fractional coordinates):
1 Sc 0.0000 0.0000 0.0000
2 Sc 0.4977 0.4977 0.4977
3 Cd 0.2455 0.2455 0.2455
4 Cd 0.7531 0.7531 0.7531
5 Si 0.3906 0.3906 0.3906
6 Si 0.6259 0.6259 0.6259
7 Si 0.8631 0.8631 0.8631

Largest 10 diffraction maxima, in order of rising 2θ, 10° ≤ 2θ ≤ 90°:
- 21.1 deg, intensity 18.4
- 24.3 deg, intensity 38.8
- 27.3 deg, intensity 83.0
- 36.9 deg, intensity 100.0
- 40.9 deg, intensity 80.7
- 42.9 deg, intensity 16.8
- 49.9 deg, intensity 15.0
- 56.3 deg, intensity 30.8
- 60.8 deg, intensity 20.8
- 71.9 deg, intensity 27.3

Diffraction record for Nd2Ni3Sn2Pt. The XRD peak list is simulated, not measured: it uses a DFT-relaxed cell (GGA-PBE, OQMD) and Cu Ka.
Lines closer than 0.1° are merged.

Structure:
a = 4.4709 Å, b = 4.4709 Å, c = 9.1231 Å
α = 90.00°, β = 90.00°, γ = 120.00°
Atoms (fractional coordinates):
1 Nd 0.0000 0.0000 0.0000
2 Nd 0.3333 0.6667 0.5066
3 Ni 0.0000 0.0000 0.3327
4 Ni 0.0000 0.0000 0.6800
5 Ni 0.3333 0.6667 0.8235
6 Sn 0.6667 0.3333 0.2688
7 Sn 0.6667 0.3333 0.7499
8 Pt 0.3333 0.6667 0.1685

Largest 10 diffraction maxima, in order of rising 2θ, 10° ≤ 2θ ≤ 90°:
- 25.0 deg, intensity 17.3
- 30.3 deg, intensity 50.7
- 37.6 deg, intensity 100.0
- 40.3 deg, intensity 99.4
- 51.3 deg, intensity 12.2
- 56.3 deg, intensity 30.6
- 57.7 deg, intensity 11.5
- 66.0 deg, intensity 19.6
- 71.6 deg, intensity 29.5
- 73.4 deg, intensity 17.0

Diffraction record for Ba2CdP6W. The XRD peak list is simulated, not measured: it uses a DFT-relaxed cell (GGA-PBE, OQMD) and Cu Ka.
Lines closer than 0.1° are merged.

Structure:
a = 7.6357 Å, b = 7.6357 Å, c = 11.1037 Å
α = 90.00°, β = 90.00°, γ = 120.00°
Atoms (fractional coordinates):
1 Ba 0.3333 0.6667 0.0754
2 Ba 0.3333 0.6667 0.4246
3 Ba 0.6667 0.3333 0.5754
4 Ba 0.6667 0.3333 0.9246
5 Cd 0.0000 0.0000 0.2500
6 Cd 0.0000 0.0000 0.7500
7 P 0.1229 0.3527 0.8496
8 P 0.1229 0.7702 0.6504
9 P 0.2298 0.3527 0.6504
10 P 0.2298 0.8771 0.8496
11 P 0.3527 0.1229 0.3496
12 P 0.3527 0.2298 0.1504
13 P 0.6473 0.7702 0.8496
14 P 0.6473 0.8771 0.6504
15 P 0.7702 0.1229 0.1504
16 P 0.7702 0.6473 0.3496
17 P 0.8771 0.2298 0.3496
18 P 0.8771 0.6473 0.1504
19 W 0.3333 0.6667 0.7500
20 W 0.6667 0.3333 0.2500

Largest 10 diffraction maxima, in order of rising 2θ, 10° ≤ 2θ ≤ 90°:
- 15.6 deg, intensity 21.4
- 23.3 deg, intensity 100.0
- 27.6 deg, intensity 73.0
- 36.4 deg, intensity 47.1
- 40.9 deg, intensity 29.0
- 43.7 deg, intensity 45.8
- 47.6 deg, intensity 26.5
- 55.2 deg, intensity 28.4
- 56.0 deg, intensity 21.4
- 85.3 deg, intensity 15.3

Diffraction record for SrSb12Os4. The XRD peak list is simulated, not measured: it uses a DFT-relaxed cell (GGA-PBE, OQMD) and Cu Ka.
Lines closer than 0.1° are merged.

Structure:
a = 8.1705 Å, b = 8.1705 Å, c = 8.1705 Å
α = 109.47°, β = 109.47°, γ = 109.47°
Atoms (fractional coordinates):
1 Sr 0.0000 0.0000 0.0000
2 Sb 0.1580 0.3412 0.4992
3 Sb 0.1580 0.6588 0.8168
4 Sb 0.1832 0.8420 0.3412
5 Sb 0.3412 0.1832 0.8420
6 Sb 0.3412 0.4992 0.1580
7 Sb 0.4992 0.1580 0.3412
8 Sb 0.5008 0.8420 0.6588
9 Sb 0.6588 0.5008 0.8420
10 Sb 0.6588 0.8168 0.1580
11 Sb 0.8168 0.1580 0.6588
12 Sb 0.8420 0.3412 0.1832
13 Sb 0.8420 0.6588 0.5008
14 Os 0.0000 0.0000 0.5000
15 Os 0.0000 0.5000 0.0000
16 Os 0.5000 0.0000 0.0000
17 Os 0.5000 0.5000 0.5000

Largest 10 diffraction maxima, in order of rising 2θ, 10° ≤ 2θ ≤ 90°:
- 18.8 deg, intensity 36.2
- 26.7 deg, intensity 26.3
- 30.0 deg, intensity 100.0
- 35.6 deg, intensity 40.1
- 42.9 deg, intensity 61.3
- 47.2 deg, intensity 58.9
- 49.2 deg, intensity 27.7
- 62.2 deg, intensity 15.5
- 67.3 deg, intensity 17.5
- 87.8 deg, intensity 24.5

Diffraction record for PtI4. The XRD peak list is simulated, not measured: it uses a DFT-relaxed cell (GGA-PBE, OQMD) and Cu Ka.
Lines closer than 0.1° are merged.

Structure:
a = 7.2477 Å, b = 7.2477 Å, c = 13.8720 Å
α = 90.00°, β = 90.00°, γ = 110.84°
Atoms (fractional coordinates):
1 Pt 0.1266 0.3731 0.0000
2 Pt 0.3731 0.1266 0.5000
3 Pt 0.6269 0.8734 0.0000
4 Pt 0.8734 0.6269 0.5000
5 I 0.0056 0.9944 0.5809
6 I 0.0161 0.4849 0.6537
7 I 0.2304 0.2686 0.3466
8 I 0.2410 0.7590 0.4190
9 I 0.2592 0.7408 0.9191
10 I 0.2686 0.2304 0.8466
11 I 0.4849 0.0161 0.1537
12 I 0.4943 0.5057 0.0810
13 I 0.5057 0.4943 0.5810
14 I 0.5151 0.9839 0.6537
15 I 0.7314 0.7696 0.3466
16 I 0.7408 0.2592 0.4191
17 I 0.7590 0.2410 0.9190
18 I 0.7696 0.7314 0.8466
19 I 0.9839 0.5151 0.1537
20 I 0.9944 0.0056 0.0809

Largest 10 diffraction maxima, in order of rising 2θ, 10° ≤ 2θ ≤ 90°:
- 12.8 deg, intensity 49.1
- 16.2 deg, intensity 34.0
- 24.4 deg, intensity 24.3
- 29.3 deg, intensity 100.0
- 29.8 deg, intensity 36.4
- 32.8 deg, intensity 22.5
- 39.5 deg, intensity 36.8
- 39.9 deg, intensity 24.9
- 44.0 deg, intensity 20.1
- 45.0 deg, intensity 34.5

Diffraction record for LiHfAgTeS2. The XRD peak list is simulated, not measured: it uses a DFT-relaxed cell (GGA-PBE, OQMD) and Cu Ka.
Lines closer than 0.1° are merged.

Structure:
a = 6.8815 Å, b = 6.8815 Å, c = 10.5789 Å
α = 90.00°, β = 90.00°, γ = 148.56°
Atoms (fractional coordinates):
1 Li 0.2004 0.7996 0.7500
2 Li 0.7996 0.2004 0.2500
3 Hf 0.0000 0.0000 0.0000
4 Hf 0.0000 0.0000 0.5000
5 Ag 0.4693 0.5307 0.2500
6 Ag 0.5307 0.4693 0.7500
7 Te 0.1228 0.8772 0.2500
8 Te 0.8772 0.1228 0.7500
9 S 0.3730 0.6270 0.0529
10 S 0.3730 0.6270 0.4471
11 S 0.6270 0.3730 0.5529
12 S 0.6270 0.3730 0.9471

Largest 10 diffraction maxima, in order of rising 2θ, 10° ≤ 2θ ≤ 90°:
- 13.4 deg, intensity 100.0
- 26.2 deg, intensity 15.7
- 30.1 deg, intensity 19.5
- 32.5 deg, intensity 18.3
- 33.9 deg, intensity 26.5
- 35.8 deg, intensity 76.3
- 36.6 deg, intensity 17.8
- 45.4 deg, intensity 32.5
- 48.8 deg, intensity 11.5
- 61.9 deg, intensity 11.9

Diffraction record for LuMg2O4. The XRD peak list is simulated, not measured: it uses a DFT-relaxed cell (GGA-PBE, OQMD) and Cu Ka.
Lines closer than 0.1° are merged.

Structure:
a = 6.1756 Å, b = 6.1756 Å, c = 6.1756 Å
α = 60.00°, β = 60.00°, γ = 60.00°
Atoms (fractional coordinates):
1 Lu 0.1250 0.1250 0.1250
2 Lu 0.8750 0.8750 0.8750
3 Mg 0.0000 0.5000 0.5000
4 Mg 0.5000 0.0000 0.5000
5 Mg 0.5000 0.5000 0.0000
6 Mg 0.5000 0.5000 0.5000
7 O 0.2616 0.2616 0.2616
8 O 0.2616 0.2616 0.7151
9 O 0.2616 0.7151 0.2616
10 O 0.2849 0.7384 0.7384
11 O 0.7151 0.2616 0.2616
12 O 0.7384 0.2849 0.7384
13 O 0.7384 0.7384 0.2849
14 O 0.7384 0.7384 0.7384

Largest 10 diffraction maxima, in order of rising 2θ, 10° ≤ 2θ ≤ 90°:
- 17.6 deg, intensity 54.7
- 28.9 deg, intensity 100.0
- 34.0 deg, intensity 91.1
- 45.3 deg, intensity 22.7
- 51.2 deg, intensity 40.3
- 54.6 deg, intensity 35.6
- 59.9 deg, intensity 31.3
- 67.9 deg, intensity 17.0
- 82.7 deg, intensity 21.5
- 85.4 deg, intensity 19.2

Diffraction record for HOsPbO4. The XRD peak list is simulated, not measured: it uses a DFT-relaxed cell (GGA-PBE, OQMD) and Cu Ka.
Lines closer than 0.1° are merged.

Structure:
a = 5.1077 Å, b = 5.9216 Å, c = 5.5449 Å
α = 90.00°, β = 92.65°, γ = 90.00°
Atoms (fractional coordinates):
1 H 0.0000 0.0000 0.0000
2 H 0.0000 0.0000 0.5000
3 Os 0.0000 0.3632 0.2500
4 Os 0.0000 0.6368 0.7500
5 Pb 0.5000 0.1896 0.7500
6 Pb 0.5000 0.8104 0.2500
7 O 0.1807 0.1096 0.4172
8 O 0.1807 0.8904 0.9172
9 O 0.2026 0.4228 0.9610
10 O 0.2026 0.5772 0.4610
11 O 0.7974 0.4228 0.5390
12 O 0.7974 0.5772 0.0390
13 O 0.8193 0.1096 0.0828
14 O 0.8193 0.8904 0.5828

Largest 10 diffraction maxima, in order of rising 2θ, 10° ≤ 2θ ≤ 90°:
- 23.0 deg, intensity 51.4
- 27.7 deg, intensity 100.0
- 28.6 deg, intensity 89.4
- 32.3 deg, intensity 34.7
- 34.3 deg, intensity 46.1
- 35.2 deg, intensity 28.0
- 47.3 deg, intensity 21.1
- 49.4 deg, intensity 17.4
- 49.5 deg, intensity 21.0
- 50.6 deg, intensity 23.7

Diffraction record for Ta. The XRD peak list is simulated, not measured: it uses a DFT-relaxed cell (GGA-PBE, OQMD) and Cu Ka.
Lines closer than 0.1° are merged.

Structure:
a = 5.3082 Å, b = 5.3082 Å, c = 5.3082 Å
α = 90.00°, β = 90.00°, γ = 90.00°
Atoms (fractional coordinates):
1 Ta 0.0000 0.0000 0.0000
2 Ta 0.0000 0.2500 0.5000
3 Ta 0.0000 0.7500 0.5000
4 Ta 0.2500 0.5000 0.0000
5 Ta 0.5000 0.0000 0.2500
6 Ta 0.5000 0.0000 0.7500
7 Ta 0.5000 0.5000 0.5000
8 Ta 0.7500 0.5000 0.0000

Largest 10 diffraction maxima, in order of rising 2θ, 10° ≤ 2θ ≤ 90°:
- 33.8 deg, intensity 34.1
- 37.9 deg, intensity 100.0
- 41.7 deg, intensity 76.9
- 60.4 deg, intensity 8.7
- 63.2 deg, intensity 22.8
- 65.8 deg, intensity 40.3
- 71.0 deg, intensity 16.1
- 81.0 deg, intensity 11.4
- 83.4 deg, intensity 21.3
- 85.9 deg, intensity 10.0

Diffraction record for RbGdAgTe3. The XRD peak list is simulated, not measured: it uses a DFT-relaxed cell (GGA-PBE, OQMD) and Cu Ka.
Lines closer than 0.1° are merged.

Structure:
a = 17.1482 Å, b = 4.3631 Å, c = 11.5571 Å
α = 90.00°, β = 90.00°, γ = 90.00°
Atoms (fractional coordinates):
1 Rb 0.2343 0.2500 0.0336
2 Rb 0.2657 0.7500 0.5336
3 Rb 0.7343 0.2500 0.4664
4 Rb 0.7657 0.7500 0.9664
5 Gd 0.0228 0.2500 0.3394
6 Gd 0.4772 0.7500 0.8394
7 Gd 0.5228 0.2500 0.1606
8 Gd 0.9772 0.7500 0.6606
9 Ag 0.0136 0.7500 0.0927
10 Ag 0.4864 0.2500 0.5927
11 Ag 0.5136 0.7500 0.4073
12 Ag 0.9864 0.2500 0.9073
13 Te 0.0902 0.7500 0.8723
14 Te 0.0970 0.2500 0.5827
15 Te 0.1367 0.7500 0.2544
16 Te 0.3633 0.2500 0.7544
17 Te 0.4030 0.7500 0.0827
18 Te 0.4098 0.2500 0.3723
19 Te 0.5902 0.7500 0.6277
20 Te 0.5970 0.2500 0.9173
21 Te 0.6367 0.7500 0.2456
22 Te 0.8633 0.2500 0.7456
23 Te 0.9030 0.7500 0.4173
24 Te 0.9098 0.2500 0.1277

Largest 10 diffraction maxima, in order of rising 2θ, 10° ≤ 2θ ≤ 90°:
- 10.3 deg, intensity 100.0
- 25.3 deg, intensity 32.5
- 26.8 deg, intensity 77.0
- 27.7 deg, intensity 20.3
- 30.1 deg, intensity 44.1
- 30.2 deg, intensity 16.8
- 32.7 deg, intensity 33.7
- 36.8 deg, intensity 52.3
- 40.8 deg, intensity 20.3
- 41.4 deg, intensity 29.4

Diffraction record for ZrPH2O5. The XRD peak list is simulated, not measured: it uses a DFT-relaxed cell (GGA-PBE, OQMD) and Cu Ka.
Lines closer than 0.1° are merged.

Structure:
a = 5.4613 Å, b = 5.5863 Å, c = 6.6158 Å
α = 102.44°, β = 97.20°, γ = 106.44°
Atoms (fractional coordinates):
1 Zr 0.1215 0.2084 0.1898
2 Zr 0.8785 0.7916 0.8102
3 P 0.2467 0.3853 0.7314
4 P 0.7533 0.6147 0.2686
5 H 0.4065 0.8465 0.2661
6 H 0.4147 0.8865 0.7670
7 H 0.5853 0.1135 0.2330
8 H 0.5935 0.1535 0.7339
9 O 0.0825 0.2718 0.5104
10 O 0.1689 0.1787 0.8589
11 O 0.1940 0.6329 0.8468
12 O 0.4211 0.0308 0.2752
13 O 0.4576 0.5548 0.2620
14 O 0.5424 0.4452 0.7380
15 O 0.5789 0.9692 0.7248
16 O 0.8060 0.3671 0.1532
17 O 0.8311 0.8213 0.1411
18 O 0.9175 0.7282 0.4896

Largest 10 diffraction maxima, in order of rising 2θ, 10° ≤ 2θ ≤ 90°:
- 17.3 deg, intensity 48.9
- 19.1 deg, intensity 45.4
- 20.1 deg, intensity 100.0
- 27.7 deg, intensity 42.1
- 28.2 deg, intensity 86.0
- 33.7 deg, intensity 43.9
- 33.8 deg, intensity 23.7
- 35.1 deg, intensity 25.4
- 35.8 deg, intensity 21.2
- 42.6 deg, intensity 19.8